The following is a calculated powder diffraction line list of CsK2P2Au3. It was derived from a crystal structure in OQMD, relaxed with PBE, using Cu Ka.
Neutral-atom scattering factors, no anomalous dispersion.

Most intense lines, 2θ from 5° to 70°, low angle first:
Position (°2θ), I (rel.)
13.26, 100
16.73, 58
27.55, 47
31.21, 44
32.90, 49
33.83, 79
37.33, 67
49.23, 33

Atomic structure:
```
CsK2P2Au3
1.0
3.1726 1.8317 6.6781
-3.1726 1.8317 6.6781
0.0000 -3.6634 6.6781
Cs K P Au
1 2 2 3
Cartesian
0.0000 0.0000 0.0000 Cs
0.0000 0.0000 8.2466 K
0.0000 0.0000 11.7877 K
0.0000 0.0000 4.9239 P
0.0000 0.0000 15.1104 P
-3.1726 0.0000 10.0171 Au
-1.5863 0.9158 3.3390 Au
1.5863 0.9158 3.3391 Au
```

=====

The following is a calculated powder diffraction line list of Cu5Ag4. It was derived from a crystal structure in OQMD, relaxed with PBE, using Cu Ka.
Neutral-atom scattering factors, no anomalous dispersion.

Most intense lines, 2θ from 5° to 70°, low angle first:
Position (°2θ), I (rel.)
13.39, 5
26.97, 5
40.05, 100
40.95, 29
46.85, 59
56.78, 3
67.79, 18
69.05, 18

Atomic structure:
```
Cu5Ag4
1.0
2.3943 1.3824 6.6111
-2.3943 1.3824 6.6111
0.0000 -2.7647 6.6111
Cu Ag
5 4
Cartesian
0.0000 0.0000 19.8321 Cu
-1.5518 0.0746 8.6502 Cu
0.0000 0.0000 6.6111 Cu
0.7113 -1.3812 8.6502 Cu
0.8405 1.3066 8.6503 Cu
-0.8096 -1.3958 10.8838 Ag
-0.8041 1.3990 10.8838 Ag
0.0000 0.0000 13.2416 Ag
1.6136 -0.0032 10.8838 Ag
```

=====

The following is a calculated powder diffraction line list of Lu4AlAuC2. It was derived from a crystal structure in OQMD, relaxed with PBE, using Cu Ka.
Neutral-atom scattering factors, no anomalous dispersion.

Most intense lines, 2θ from 5° to 70°, low angle first:
Position (°2θ), I (rel.)
6.07, 53
29.20, 27
34.66, 100
37.03, 16
47.83, 16
51.77, 23
63.81, 18
65.35, 19

Atomic structure:
```
Lu4AlAuC2
1.0
3.5317 0.0000 0.0000
-1.7658 3.0585 0.0000
0.0000 0.0000 14.5668
Lu Al Au C
4 1 1 2
Cartesian
0.0000 0.0000 2.2065 Lu
0.0000 0.0000 12.3603 Lu
0.0000 2.0390 4.8130 Lu
0.0000 2.0390 9.7538 Lu
0.0000 0.0000 7.2834 Al
0.0000 2.0390 0.0000 Au
1.7659 1.0195 3.4472 C
1.7659 1.0195 11.1196 C
```

=====

The following is a calculated powder diffraction line list of LaNd2Ag4Ge4. It was derived from a crystal structure in OQMD, relaxed with PBE, using Cu Ka.
Neutral-atom scattering factors, no anomalous dispersion.

Most intense lines, 2θ from 5° to 70°, low angle first:
Position (°2θ), I (rel.)
32.35, 100
33.69, 99
36.19, 33
36.68, 31
40.48, 47
41.47, 40
44.24, 31
59.34, 27

Atomic structure:
```
LaNd2Ag4Ge4
1.0
-2.2285 3.6339 7.4508
2.2285 -3.6339 7.4508
2.2285 3.6339 -7.4508
La Nd Ag Ge
1 2 4 4
Cartesian
0.0000 0.0000 0.0000 La
2.2285 0.0000 5.5426 Nd
0.0000 3.6339 1.9082 Nd
2.2285 1.4170 -2.5072 Ag
2.2285 1.4170 2.5072 Ag
0.0000 2.2169 4.9436 Ag
0.0000 2.2169 9.9580 Ag
0.0000 0.0000 3.2421 Ge
2.2285 2.3349 0.0000 Ge
0.0000 1.2990 7.4508 Ge
0.0000 0.0000 11.6595 Ge
```

=====

The following is a calculated powder diffraction line list of YCu2C4. It was derived from a crystal structure in OQMD, relaxed with PBE, using Cu Ka.
Neutral-atom scattering factors, no anomalous dispersion.

Most intense lines, 2θ from 5° to 70°, low angle first:
Position (°2θ), I (rel.)
25.37, 100
27.74, 70
35.44, 26
35.49, 26
37.52, 26
37.64, 26
40.26, 64
57.29, 40

Atomic structure:
```
YCu2C4
1.0
3.5806 -7.3020 0.0000
3.5806 7.3020 0.0000
-3.5680 0.0000 3.5844
Y Cu C
2 4 8
Cartesian
0.9046 5.4816 2.6883 Y
2.6886 -5.4816 0.8961 Y
1.7903 3.6510 0.0000 Cu
0.0063 -3.6510 1.7922 Cu
3.5806 0.0000 0.0000 Cu
1.7966 0.0000 1.7922 Cu
1.6106 1.8243 0.8830 C
-0.8653 1.8314 3.3978 C
-0.1734 -1.8243 2.6752 C
0.9187 -1.8314 1.6056 C
2.6745 1.8314 1.9787 C
3.7665 1.8243 0.9092 C
4.4585 -1.8314 0.1866 C
1.9825 -1.8243 2.7013 C
```

=====

The following is a calculated powder diffraction line list of Ta3Mo. It was derived from a crystal structure in OQMD, relaxed with PBE, using Cu Ka.
Neutral-atom scattering factors, no anomalous dispersion.

Most intense lines, 2θ from 5° to 70°, low angle first:
Position (°2θ), I (rel.)
23.56, 4
27.27, 2
38.95, 100
46.03, 2
48.20, 1
56.26, 17
61.84, 1
63.63, 1

Atomic structure:
```
Ta3Mo
1.0
6.5400 0.0000 0.0000
0.0000 6.5400 0.0000
0.0000 0.0000 6.5400
Ta Mo
12 4
Cartesian
0.0000 0.0000 0.0000 Ta
0.0000 3.2700 3.2700 Ta
1.6350 1.6350 1.6350 Ta
1.6350 1.6350 4.9050 Ta
1.6350 4.9050 1.6350 Ta
1.6350 4.9050 4.9050 Ta
3.2700 0.0000 3.2700 Ta
3.2700 3.2700 0.0000 Ta
4.9050 1.6350 1.6350 Ta
4.9050 1.6350 4.9050 Ta
4.9050 4.9050 1.6350 Ta
4.9050 4.9050 4.9050 Ta
0.0000 0.0000 3.2700 Mo
0.0000 3.2700 0.0000 Mo
3.2700 0.0000 0.0000 Mo
3.2700 3.2700 3.2700 Mo
```

=====

The following is a calculated powder diffraction line list of LiPr2AgBi4. It was derived from a crystal structure in OQMD, relaxed with PBE, using Cu Ka.
Neutral-atom scattering factors, no anomalous dispersion.

Most intense lines, 2θ from 5° to 70°, low angle first:
Position (°2θ), I (rel.)
24.86, 20
25.59, 23
28.85, 28
32.33, 100
39.44, 40
47.19, 15
57.00, 14
67.07, 25

Atomic structure:
```
LiPr2AgBi4
1.0
4.5697 0.0000 0.0000
0.0000 4.5697 0.0000
0.0000 0.0000 10.7430
Li Pr Ag Bi
1 2 1 4
Cartesian
0.0000 0.0000 0.0000 Li
0.0000 2.2848 2.7438 Pr
2.2848 0.0000 7.9992 Pr
2.2848 2.2848 0.0000 Ag
0.0000 0.0000 5.3715 Bi
0.0000 2.2848 8.8883 Bi
2.2848 0.0000 1.8547 Bi
2.2848 2.2848 5.3715 Bi
```

=====

The following is a calculated powder diffraction line list of Y2Zr4S3N3. It was derived from a crystal structure in OQMD, relaxed with PBE, using Cu Ka.
Neutral-atom scattering factors, no anomalous dispersion.

Most intense lines, 2θ from 5° to 70°, low angle first:
Position (°2θ), I (rel.)
29.11, 10
29.83, 25
30.73, 22
37.21, 100
42.17, 11
52.96, 28
61.28, 10
66.50, 17

Atomic structure:
```
Y2Zr4S3N3
1.0
5.1846 -2.9962 0.0000
5.1846 2.9962 0.0000
-3.4401 0.0000 12.2690
Y Zr S N
4 8 6 6
Cartesian
2.6170 2.5045 7.4376 Y
2.5921 2.5045 10.9659 Y
4.3371 -2.5045 1.3031 Y
4.3122 -2.5045 4.8314 Y
2.5848 0.4946 1.1817 Zr
2.5967 0.5108 4.9533 Zr
0.8647 -0.4946 7.3162 Zr
0.8767 -0.5108 11.0879 Zr
6.0525 0.5108 1.1812 Zr
6.0645 0.4946 4.9528 Zr
4.3325 -0.5108 7.3157 Zr
4.3444 -0.4946 11.0873 Zr
-0.7573 0.5523 9.2122 S
0.9627 -0.5523 3.0777 S
2.6046 0.3908 9.2018 S
4.3246 -0.3908 3.0673 S
5.9665 0.5523 9.1914 S
7.6865 -0.5523 3.0568 S
0.8723 1.4981 6.1345 N
0.8644 1.4719 12.2690 N
4.3447 1.4719 6.1345 N
2.5923 -1.4981 0.0000 N
2.5845 -1.4719 6.1345 N
6.0648 -1.4719 0.0000 N
```

=====

The following is a calculated powder diffraction line list of DyY2Si4Pd4. It was derived from a crystal structure in OQMD, relaxed with PBE, using Cu Ka.
Neutral-atom scattering factors, no anomalous dispersion.

Most intense lines, 2θ from 5° to 70°, low angle first:
Position (°2θ), I (rel.)
28.30, 28
29.17, 43
34.30, 100
35.22, 31
36.45, 68
39.50, 36
43.72, 43
43.84, 40

Atomic structure:
```
DyY2Si4Pd4
1.0
-2.0651 3.4849 6.8434
2.0651 -3.4849 6.8434
2.0651 3.4849 -6.8434
Dy Y Si Pd
1 2 4 4
Cartesian
0.0000 0.0000 0.0000 Dy
2.0651 0.0000 5.1383 Y
0.0000 3.4849 1.7051 Y
0.0000 0.0000 2.9971 Si
2.0651 2.2141 0.0000 Si
0.0000 1.2708 6.8434 Si
0.0000 0.0000 10.6897 Si
2.0651 1.3986 -2.3905 Pd
2.0651 1.3986 2.3905 Pd
0.0000 2.0863 4.4529 Pd
0.0000 2.0863 9.2339 Pd
```

=====

The following is a calculated powder diffraction line list of Dy4Er3Fe2Te2. It was derived from a crystal structure in OQMD, relaxed with PBE, using Cu Ka.
Neutral-atom scattering factors, no anomalous dispersion.

Most intense lines, 2θ from 5° to 70°, low angle first:
Position (°2θ), I (rel.)
28.73, 24
30.54, 54
33.50, 82
33.97, 100
34.37, 29
34.66, 57
46.97, 32
58.92, 33

Atomic structure:
```
Dy4Er3Fe2Te2
1.0
-1.9344 7.8267 4.6735
1.9344 -7.8267 4.6735
1.9344 7.8267 -4.6735
Dy Er Fe Te
4 3 2 2
Cartesian
0.0000 2.1227 0.0000 Dy
0.0000 5.4828 1.4126 Dy
0.0000 10.1705 1.4126 Dy
0.0000 13.5307 0.0000 Dy
1.9344 -2.9130 2.7442 Er
0.0000 0.0000 3.9132 Er
1.9344 2.9130 2.7442 Er
1.9344 4.1313 -0.1422 Fe
0.0000 3.6954 4.5313 Fe
1.9344 0.0000 1.4379 Te
0.0000 0.0000 7.0391 Te
```

=====

The following is a calculated powder diffraction line list of Er3HfSi4. It was derived from a crystal structure in OQMD, relaxed with PBE, using Cu Ka.
Neutral-atom scattering factors, no anomalous dispersion.

Most intense lines, 2θ from 5° to 70°, low angle first:
Position (°2θ), I (rel.)
23.39, 38
28.63, 82
30.91, 68
31.08, 67
33.46, 100
34.32, 56
34.62, 56
48.24, 33

Atomic structure:
```
Er3HfSi4
1.0
5.5385 0.0000 0.0000
0.0000 3.7728 0.0000
-0.0999 0.0000 7.6057
Er Hf Si
3 1 4
Cartesian
0.0000 0.0000 0.0000 Er
1.2971 1.8864 2.7382 Er
2.7088 1.8864 6.5112 Er
4.0346 0.0000 3.7918 Hf
1.3413 0.0000 4.8417 Si
2.7122 0.0000 1.1067 Si
4.1644 1.8864 1.7444 Si
5.3616 1.8864 5.3962 Si
```